(1)
Theoretical powder diffractogram
Compound: Cu2SbCl6
Radiation: Cu Ka
Structure: a DFT-relaxed cell (GGA-PBE, Alexandria)
Intensities are scaled so that the largest is 100.

Principal peaks in the range 2θ from 15° to 90°, in order of rising 2θ:
d (Å), I (rel.), h k l
5.806, 77, 1 1 -1
4.773, 100, 1 1 1
3.460, 69, 1 3 -1
3.249, 36, 1 1 -2
2.920, 66, 3 3 -1
2.905, 60, 4 2 -1
2.594, 56, 2 0 2
2.110, 75, 2 2 -3
2.031, 34, 0 6 0
1.810, 48, 2 4 -3

Cell and atoms:
```
data_Cu2SbCl6
_cell_length_a 13.519
_cell_length_b 12.189
_cell_length_c 6.751
_cell_angle_alpha 90.00
_cell_angle_beta 107.23
_cell_angle_gamma 90.00
_space_group_name_H-M_alt 'C 1 2/c 1'
_space_group_IT_number 15
loop_
_space_group_symop_operation_xyz
'x,y,z'
'-x,-y,-z'
'-x,y,-z+1/2'
'x,-y,z+1/2'
'x+1/2,y+1/2,z'
'-x+1/2,-y+1/2,-z'
'-x+1/2,y+1/2,-z+1/2'
'x+1/2,-y+1/2,z+1/2'
loop_
_atom_site_label
_atom_site_fract_x
_atom_site_fract_y
_atom_site_fract_z
Cu1 0.076 0.091 0.137
Sb1 0.000 0.412 0.250
Cl1 0.110 0.068 0.503
Cl2 0.119 0.433 0.644
Cl3 0.122 0.267 0.135
```

***

(2)
Theoretical powder diffractogram
Compound: CuSb2Cl8
Radiation: Cu Ka
Structure: a DFT-relaxed cell (GGA-PBE, Alexandria)
Intensities are scaled so that the largest is 100.

Principal peaks in the range 2θ from 15° to 90°, in order of rising 2θ:
d (Å), I (rel.), h k l
5.323, 100, 1 1 -1
4.994, 39, 2 0 -2
2.987, 44, 4 0 -3
2.943, 24, 0 2 1
2.917, 46, 1 1 2
2.381, 42, 2 2 1
2.222, 18, 4 2 -1
2.172, 18, 5 1 -4
1.956, 19, 2 2 -4
1.780, 24, 6 2 -2

Cell and atoms:
```
data_CuSb2Cl8
_cell_length_a 13.188
_cell_length_b 6.290
_cell_length_c 10.275
_cell_angle_alpha 90.00
_cell_angle_beta 125.68
_cell_angle_gamma 90.00
_space_group_name_H-M_alt 'C 1 2/m 1'
_space_group_IT_number 12
loop_
_space_group_symop_operation_xyz
'x,y,z'
'-x,-y,-z'
'-x,y,-z'
'x,-y,z'
'x+1/2,y+1/2,z'
'-x+1/2,-y+1/2,-z'
'-x+1/2,y+1/2,-z'
'x+1/2,-y+1/2,z'
loop_
_atom_site_label
_atom_site_fract_x
_atom_site_fract_y
_atom_site_fract_z
Cu1 0.000 0.000 0.000
Sb1 0.198 0.500 0.607
Cl1 0.070 0.500 0.716
Cl2 0.144 0.000 0.485
Cl3 0.144 0.247 0.163
```

***

(3)
Theoretical powder diffractogram
Compound: ScCu3Cl9
Radiation: Cu Ka
Structure: a DFT-relaxed cell (GGA-PBE, Alexandria)
Intensities are scaled so that the largest is 100.

Principal peaks in the range 2θ from 15° to 90°, in order of rising 2θ:
d (Å), I (rel.), h k l
5.094, 100, 1 1 1
4.809, 31, 0 0 2
4.498, 67, 3 1 -2
4.018, 24, 3 1 0
3.635, 16, 3 1 -3
3.174, 33, 5 1 -2
2.946, 47, 2 2 -3
2.108, 22, 7 1 -5
2.010, 20, 1 3 3
1.873, 15, 7 3 -3

Cell and atoms:
```
data_ScCu3Cl9
_cell_length_a 17.040
_cell_length_b 8.788
_cell_length_c 12.077
_cell_angle_alpha 90.00
_cell_angle_beta 127.30
_cell_angle_gamma 90.00
_space_group_name_H-M_alt 'C 1 c 1'
_space_group_IT_number 9
loop_
_space_group_symop_operation_xyz
'x,y,z'
'x,-y,z+1/2'
'x+1/2,y+1/2,z'
'x+1/2,-y+1/2,z+1/2'
loop_
_atom_site_label
_atom_site_fract_x
_atom_site_fract_y
_atom_site_fract_z
Sc1 0.000 0.222 0.000
Cu1 0.139 0.125 0.830
Cu2 0.238 0.445 0.716
Cu3 0.364 0.075 0.669
Cl1 0.001 0.095 0.814
Cl2 0.122 0.349 0.729
Cl3 0.134 0.052 0.185
Cl4 0.150 0.367 0.058
Cl5 0.262 0.275 0.601
Cl6 0.298 0.116 0.014
Cl7 0.365 0.461 0.429
Cl8 0.400 0.054 0.360
Cl9 0.495 0.179 0.693
```

***

(4)
Theoretical powder diffractogram
Compound: Cu3Se2Cl2
Radiation: Cu Ka
Structure: a DFT-relaxed cell (GGA-PBE, Alexandria)
Intensities are scaled so that the largest is 100.

Principal peaks in the range 2θ from 15° to 90°, in order of rising 2θ:
d (Å), I (rel.), h k l
3.616, 85, 0 1 1
3.333, 100, 1 0 -1
3.254, 96, 1 0 1
3.094, 36, 1 -1 1
2.991, 89, 0 2 -1
2.395, 37, 0 1 2
2.149, 37, 1 2 -2
2.139, 40, 1 -2 2
1.944, 62, 2 0 0
1.892, 42, 0 3 0

Cell and atoms:
```
data_Cu3Se2Cl2
_cell_length_a 3.890
_cell_length_b 6.030
_cell_length_c 6.583
_cell_angle_alpha 109.82
_cell_angle_beta 91.23
_cell_angle_gamma 90.59
_space_group_name_H-M_alt 'P -1'
_space_group_IT_number 2
loop_
_space_group_symop_operation_xyz
'x,y,z'
'-x,-y,-z'
loop_
_atom_site_label
_atom_site_fract_x
_atom_site_fract_y
_atom_site_fract_z
Cu1 0.000 0.000 0.000
Cu2 0.484 0.368 0.665
Se1 0.008 0.684 0.149
Cl1 0.491 0.212 0.293
```

***

(5)
Theoretical powder diffractogram
Compound: Cu4SeCl3
Radiation: Cu Ka
Structure: a DFT-relaxed cell (GGA-PBE, Alexandria)
Intensities are scaled so that the largest is 100.

Principal peaks in the range 2θ from 15° to 90°, in order of rising 2θ:
d (Å), I (rel.), h k l
3.355, 47, 0 2 0
3.325, 100, 2 1 0
3.201, 85, 0 0 2
2.972, 40, 0 2 1
2.950, 81, 2 1 1
1.931, 76, 2 3 0
1.914, 38, 4 0 0
1.801, 41, 0 2 3
1.796, 80, 2 1 3
1.653, 44, 2 3 2

Cell and atoms:
```
data_Cu4SeCl3
_cell_length_a 7.655
_cell_length_b 6.710
_cell_length_c 6.402
_cell_angle_alpha 90.00
_cell_angle_beta 90.00
_cell_angle_gamma 90.00
_space_group_name_H-M_alt 'P m n 21'
_space_group_IT_number 31
loop_
_space_group_symop_operation_xyz
'x,y,z'
'-x+1/2,-y,z+1/2'
'-x,y,z'
'x+1/2,-y,z+1/2'
loop_
_atom_site_label
_atom_site_fract_x
_atom_site_fract_y
_atom_site_fract_z
Cu1 0.000 0.159 0.000
Cu2 0.000 0.833 0.488
Cu3 0.242 0.328 0.490
Se1 0.000 0.158 0.362
Cl1 0.000 0.825 0.860
Cl2 0.248 0.340 0.862
```

***

(6)
Theoretical powder diffractogram
Compound: CuSiCl4
Radiation: Cu Ka
Structure: a DFT-relaxed cell (GGA-PBE, Alexandria)
Intensities are scaled so that the largest is 100.

Principal peaks in the range 2θ from 15° to 90°, in order of rising 2θ:
d (Å), I (rel.), h k l
5.071, 36, 0 1 1
4.945, 82, 1 0 1
3.087, 100, 1 1 2
2.616, 25, 1 2 1
2.535, 27, 0 2 2
2.473, 27, 2 0 2
2.295, 18, 2 1 2
2.140, 43, 2 2 0
1.806, 20, 0 2 4
1.782, 29, 2 0 4

Cell and atoms:
```
data_CuSiCl4
_cell_length_a 5.945
_cell_length_b 6.166
_cell_length_c 8.911
_cell_angle_alpha 90.00
_cell_angle_beta 90.00
_cell_angle_gamma 90.00
_space_group_name_H-M_alt 'P 2 2 2'
_space_group_IT_number 16
loop_
_space_group_symop_operation_xyz
'x,y,z'
'-x,-y,z'
'x,-y,-z'
'-x,y,-z'
loop_
_atom_site_label
_atom_site_fract_x
_atom_site_fract_y
_atom_site_fract_z
Cu1 0.000 0.000 0.000
Cu2 0.500 0.000 0.500
Si1 0.000 0.000 0.500
Si2 0.000 0.500 0.000
Cl1 0.204 0.296 0.121
Cl2 0.275 0.200 0.666
```